The following is a calculated X-ray powder pattern of VRu3C. It was derived from a structure optimized by DFT (GGA-PBE), using Cu Kα, 1.54184 Å.
No peak broadening, texture or thermal motion is included.

Structural model:
a = 4.0034 Å, b = 4.0034 Å, c = 4.0034 Å
α = 90.00°, β = 90.00°, γ = 90.00°
Fractional coordinates of all 5 atoms:
V  0.0000  0.0000  0.0000
Ru  0.0000  0.5000  0.5000
Ru  0.5000  0.0000  0.5000
Ru  0.5000  0.5000  0.0000
C  0.5000  0.5000  0.5000

Largest 12 diffraction maxima, by angle, 2θ = 10–90°:
(1 0 0), 2θ 22.21, intensity 11
(1 1 0), 2θ 31.61, intensity 4
(1 1 1), 2θ 38.97, intensity 100
(2 0 0), 2θ 45.30, intensity 54
(2 1 0), 2θ 51.01, intensity 5
(2 1 1), 2θ 56.29, intensity 2
(2 2 0), 2θ 66.00, intensity 33
(3 0 0), 2θ 70.58, intensity 2
(3 1 0), 2θ 75.03, intensity 1
(3 1 1), 2θ 79.39, intensity 36
(2 2 2), 2θ 83.68, intensity 11
(3 2 0), 2θ 87.94, intensity 1